Simulated powder diffraction line list
Compound: SmDy15Y4
Radiation: a wavelength of 1.5418 Å
Structure: a GGA-PBE-relaxed structure
Intensities are scaled so that the largest is 100.

Crystal structure
Lattice parameters (Å, degrees): 5.029 5.029 25.142 90.00 90.00 90.00
Sites, in units of the cell vectors:
1 Sm 0.000 0.000 0.000
2 Dy 0.000 0.500 0.100
3 Dy 0.000 0.500 0.300
4 Dy 0.000 0.500 0.500
5 Dy 0.000 0.500 0.700
6 Dy 0.000 0.500 0.900
7 Dy 0.500 0.000 0.100
8 Dy 0.500 0.000 0.300
9 Dy 0.500 0.000 0.500
10 Dy 0.500 0.000 0.700
11 Dy 0.500 0.000 0.900
12 Dy 0.500 0.500 0.000
13 Dy 0.500 0.500 0.200
14 Dy 0.500 0.500 0.400
15 Dy 0.500 0.500 0.600
16 Dy 0.500 0.500 0.800
17 Y 0.000 0.000 0.200
18 Y 0.000 0.000 0.400
19 Y 0.000 0.000 0.600
20 Y 0.000 0.000 0.800

Largest 8 diffraction maxima, low angle first, 10 to 80 degrees two-theta:
2θ (°)	d [Å]	Rel. int.
17.6	5.029	2.6
25.0	3.556	2.4
30.8	2.903	100.0
35.7	2.514	50.5
51.4	1.778	35.9
61.1	1.516	42.5
64.2	1.452	12.2
75.6	1.257	5.7

Simulated powder diffraction line list
Compound: Sm7Dy2Y3
Radiation: a wavelength of 1.5418 Å
Structure: a GGA-PBE-relaxed structure
Intensities are scaled so that the largest is 100.

Crystal structure
Lattice parameters (Å, degrees): 5.854 3.621 18.914 90.00 93.66 90.00
Sites, in units of the cell vectors:
1 Sm 0.000 0.000 0.000
2 Sm 0.180 0.500 0.181
3 Sm 0.258 0.500 0.536
4 Sm 0.321 0.000 0.855
5 Sm 0.679 0.000 0.145
6 Sm 0.742 0.500 0.464
7 Sm 0.820 0.500 0.819
8 Dy 0.293 0.500 0.703
9 Dy 0.707 0.500 0.297
10 Y 0.218 0.000 0.367
11 Y 0.500 0.500 0.000
12 Y 0.782 0.000 0.633

Largest 8 diffraction maxima, low angle first, 10 to 80 degrees two-theta:
2θ (°)	d [Å]	Rel. int.
28.4	3.145	34.9
30.2	2.956	29.2
30.6	2.917	68.6
30.9	2.897	100.0
31.1	2.873	26.5
31.4	2.846	54.1
33.2	2.698	39.1
34.3	2.618	41.6

Simulated powder diffraction line list
Compound: SmDy2Y12
Radiation: a wavelength of 1.5418 Å
Structure: a GGA-PBE-relaxed structure
Intensities are scaled so that the largest is 100.

Crystal structure
Lattice parameters (Å, degrees): 6.690 6.690 24.761 90.00 90.00 116.02
Sites, in units of the cell vectors:
1 Sm 0.250 0.750 0.000
2 Sm 0.750 0.250 0.000
3 Dy 0.250 0.750 0.269
4 Dy 0.250 0.750 0.734
5 Dy 0.750 0.250 0.266
6 Dy 0.750 0.250 0.731
7 Y 0.000 0.500 0.129
8 Y 0.000 0.500 0.871
9 Y 0.001 0.999 0.922
10 Y 0.011 0.511 0.587
11 Y 0.014 0.986 0.439
12 Y 0.250 0.250 0.200
13 Y 0.250 0.250 0.327
14 Y 0.250 0.250 0.673
15 Y 0.250 0.250 0.800
16 Y 0.486 0.514 0.439
17 Y 0.489 0.989 0.587
18 Y 0.499 0.501 0.922
19 Y 0.500 0.000 0.129
20 Y 0.500 0.000 0.871
21 Y 0.501 0.499 0.078
22 Y 0.511 0.011 0.413
23 Y 0.514 0.486 0.561
24 Y 0.750 0.750 0.200
25 Y 0.750 0.750 0.327
26 Y 0.750 0.750 0.673
27 Y 0.750 0.750 0.800
28 Y 0.986 0.014 0.561
29 Y 0.989 0.489 0.413
30 Y 0.999 0.001 0.078

Largest 8 diffraction maxima, low angle first, 10 to 80 degrees two-theta:
2θ (°)	d [Å]	Rel. int.
29.0	3.076	45.9
29.8	3.002	74.9
30.6	2.921	92.8
31.5	2.837	100.0
31.7	2.824	36.8
33.0	2.717	82.3
33.1	2.704	88.2
37.0	2.430	35.6

Simulated powder diffraction line list
Compound: Sm4Dy6Y19
Radiation: a wavelength of 1.5418 Å
Structure: a GGA-PBE-relaxed structure
Intensities are scaled so that the largest is 100.

Crystal structure
Lattice parameters (Å, degrees): 10.827 10.827 10.827 109.47 109.47 109.47
Sites, in units of the cell vectors:
1 Sm 0.000 0.000 0.641
2 Sm 0.000 0.641 0.000
3 Sm 0.359 0.359 0.359
4 Sm 0.641 0.000 0.000
5 Dy 0.124 0.624 0.500
6 Dy 0.376 0.500 0.876
7 Dy 0.500 0.124 0.624
8 Dy 0.500 0.876 0.376
9 Dy 0.624 0.500 0.124
10 Dy 0.876 0.376 0.500
11 Y 0.000 0.000 0.000
12 Y 0.000 0.261 0.261
13 Y 0.000 0.739 0.739
14 Y 0.014 0.796 0.341
15 Y 0.204 0.218 0.545
16 Y 0.218 0.545 0.204
17 Y 0.261 0.000 0.261
18 Y 0.261 0.261 0.000
19 Y 0.327 0.782 0.986
20 Y 0.341 0.014 0.796
21 Y 0.455 0.673 0.659
22 Y 0.545 0.204 0.218
23 Y 0.659 0.455 0.673
24 Y 0.673 0.659 0.455
25 Y 0.739 0.000 0.739
26 Y 0.739 0.739 0.000
27 Y 0.782 0.986 0.327
28 Y 0.796 0.341 0.014
29 Y 0.986 0.327 0.782

Largest 8 diffraction maxima, low angle first, 10 to 80 degrees two-theta:
2θ (°)	d [Å]	Rel. int.
22.5	3.953	27.4
26.7	3.341	54.0
28.6	3.125	42.3
30.3	2.947	100.0
35.2	2.552	38.1
36.7	2.452	81.7
42.1	2.144	28.3
61.1	1.516	27.2

Simulated powder diffraction line list
Compound: Sm6Dy4Y
Radiation: a wavelength of 1.5418 Å
Structure: a GGA-PBE-relaxed structure
Intensities are scaled so that the largest is 100.

Crystal structure
Lattice parameters (Å, degrees): 5.645 5.645 25.694 90.00 90.00 117.70
Sites, in units of the cell vectors:
1 Sm 0.000 0.000 0.000
2 Sm 0.000 0.000 0.500
3 Sm 0.053 0.947 0.750
4 Sm 0.296 0.704 0.103
5 Sm 0.296 0.704 0.397
6 Sm 0.380 0.620 0.682
7 Sm 0.380 0.620 0.818
8 Sm 0.620 0.380 0.182
9 Sm 0.620 0.380 0.318
10 Sm 0.704 0.296 0.603
11 Sm 0.704 0.296 0.897
12 Sm 0.947 0.053 0.250
13 Dy 0.047 0.953 0.623
14 Dy 0.047 0.953 0.877
15 Dy 0.352 0.648 0.544
16 Dy 0.352 0.648 0.956
17 Dy 0.648 0.352 0.044
18 Dy 0.648 0.352 0.456
19 Dy 0.953 0.047 0.123
20 Dy 0.953 0.047 0.377
21 Y 0.285 0.715 0.250
22 Y 0.715 0.285 0.750

Largest 8 diffraction maxima, low angle first, 10 to 80 degrees two-theta:
2θ (°)	d [Å]	Rel. int.
30.2	2.958	42.4
30.6	2.921	100.0
31.7	2.820	57.0
31.9	2.803	39.8
33.2	2.702	50.9
43.8	2.066	32.7
55.1	1.666	12.0
56.1	1.641	21.3

Simulated powder diffraction line list
Compound: Sm2DyY
Radiation: a wavelength of 1.5418 Å
Structure: a GGA-PBE-relaxed structure
Intensities are scaled so that the largest is 100.

Crystal structure
Lattice parameters (Å, degrees): 11.808 11.808 11.808 17.61 17.61 17.61
Sites, in units of the cell vectors:
1 Sm 0.000 0.000 0.000
2 Sm 0.167 0.167 0.167
3 Dy 0.584 0.584 0.584
4 Y 0.417 0.417 0.417

Largest 8 diffraction maxima, low angle first, 10 to 80 degrees two-theta:
2θ (°)	d [Å]	Rel. int.
29.0	3.081	41.7
30.8	2.906	47.6
31.3	2.856	100.0
33.8	2.650	81.4
38.7	2.329	20.0
50.5	1.807	35.7
53.4	1.716	22.2
60.3	1.535	41.8

Simulated powder diffraction line list
Compound: Sm2Dy6Y3
Radiation: a wavelength of 1.5418 Å
Structure: a GGA-PBE-relaxed structure
Intensities are scaled so that the largest is 100.

Crystal structure
Lattice parameters (Å, degrees): 16.890 16.890 16.890 163.85 163.85 22.91
Sites, in units of the cell vectors:
1 Sm 0.046 0.046 0.000
2 Sm 0.954 0.954 0.000
3 Dy 0.121 0.621 0.500
4 Dy 0.194 0.194 0.000
5 Dy 0.379 0.879 0.500
6 Dy 0.621 0.121 0.500
7 Dy 0.806 0.806 0.000
8 Dy 0.879 0.379 0.500
9 Y 0.298 0.298 0.000
10 Y 0.500 0.500 0.000
11 Y 0.702 0.702 0.000

Largest 8 diffraction maxima, low angle first, 10 to 80 degrees two-theta:
2θ (°)	d [Å]	Rel. int.
10.7	8.277	24.1
28.7	3.109	100.0
32.5	2.759	24.0
34.4	2.606	92.5
37.9	2.372	60.1
50.8	1.799	27.4
54.7	1.677	22.6
66.3	1.410	27.7

Simulated powder diffraction line list
Compound: Sm3Dy2Y2
Radiation: a wavelength of 1.5418 Å
Structure: a GGA-PBE-relaxed structure
Intensities are scaled so that the largest is 100.

Crystal structure
Lattice parameters (Å, degrees): 8.951 8.951 8.568 118.34 118.34 22.72
Sites, in units of the cell vectors:
1 Sm 0.000 0.000 0.000
2 Sm 0.212 0.212 0.301
3 Sm 0.788 0.788 0.699
4 Dy 0.435 0.435 0.591
5 Dy 0.565 0.565 0.409
6 Y 0.145 0.145 0.825
7 Y 0.855 0.855 0.175

Largest 8 diffraction maxima, low angle first, 10 to 80 degrees two-theta:
2θ (°)	d [Å]	Rel. int.
27.4	3.261	73.8
29.8	3.002	39.0
31.0	2.887	92.6
31.2	2.866	87.3
31.9	2.806	80.5
33.4	2.680	100.0
36.1	2.487	62.7
54.8	1.674	40.9

Simulated powder diffraction line list
Compound: SmDy3Zn4
Radiation: a wavelength of 1.5418 Å
Structure: a GGA-PBE-relaxed structure
Intensities are scaled so that the largest is 100.

Crystal structure
Lattice parameters (Å, degrees): 5.052 5.052 7.219 90.00 90.00 90.00
Sites, in units of the cell vectors:
1 Sm 0.000 0.000 0.000
2 Dy 0.000 0.000 0.500
3 Dy 0.500 0.500 0.000
4 Dy 0.500 0.500 0.500
5 Zn 0.000 0.500 0.255
6 Zn 0.000 0.500 0.745
7 Zn 0.500 0.000 0.255
8 Zn 0.500 0.000 0.745

Largest 8 diffraction maxima, low angle first, 10 to 80 degrees two-theta:
2θ (°)	d [Å]	Rel. int.
24.9	3.573	17.1
35.3	2.539	100.0
35.5	2.526	49.4
50.6	1.805	8.9
51.1	1.786	17.4
63.3	1.468	17.9
63.7	1.461	35.3
74.8	1.270	10.9

Simulated powder diffraction line list
Compound: SmDy3Zn
Radiation: a wavelength of 1.5418 Å
Structure: a GGA-PBE-relaxed structure
Intensities are scaled so that the largest is 100.

Crystal structure
Lattice parameters (Å, degrees): 7.159 7.159 7.756 117.54 117.54 72.22
Sites, in units of the cell vectors:
1 Sm 0.082 0.082 0.272
2 Sm 0.918 0.918 0.728
3 Dy 0.013 0.610 0.285
4 Dy 0.390 0.987 0.715
5 Dy 0.452 0.452 0.690
6 Dy 0.548 0.548 0.310
7 Dy 0.610 0.013 0.285
8 Dy 0.987 0.390 0.715
9 Zn 0.235 0.235 0.066
10 Zn 0.765 0.765 0.934

Largest 8 diffraction maxima, low angle first, 10 to 80 degrees two-theta:
2θ (°)	d [Å]	Rel. int.
26.4	3.382	27.6
28.1	3.180	61.4
28.3	3.152	45.7
31.5	2.844	100.0
31.8	2.810	60.8
33.9	2.642	33.5
36.3	2.475	70.0
51.1	1.786	24.6

Simulated powder diffraction line list
Compound: SmDyZn3
Radiation: a wavelength of 1.5418 Å
Structure: a GGA-PBE-relaxed structure
Intensities are scaled so that the largest is 100.

Crystal structure
Lattice parameters (Å, degrees): 13.644 13.644 4.517 90.00 90.00 164.75
Sites, in units of the cell vectors:
1 Sm 0.073 0.927 0.750
2 Sm 0.927 0.073 0.250
3 Dy 0.209 0.791 0.250
4 Dy 0.791 0.209 0.750
5 Zn 0.327 0.673 0.250
6 Zn 0.380 0.620 0.750
7 Zn 0.477 0.523 0.750
8 Zn 0.523 0.477 0.250
9 Zn 0.620 0.380 0.250
10 Zn 0.673 0.327 0.750

Largest 8 diffraction maxima, low angle first, 10 to 80 degrees two-theta:
2θ (°)	d [Å]	Rel. int.
23.7	3.756	24.6
33.2	2.696	100.0
33.9	2.642	58.1
38.8	2.320	51.5
39.9	2.258	33.1
50.4	1.811	16.4
53.4	1.717	31.8
65.4	1.428	21.7

Simulated powder diffraction line list
Compound: Sm2Dy6Zr
Radiation: a wavelength of 1.5418 Å
Structure: a GGA-PBE-relaxed structure
Intensities are scaled so that the largest is 100.

Crystal structure
Lattice parameters (Å, degrees): 10.072 10.072 3.398 99.46 99.46 57.82
Sites, in units of the cell vectors:
1 Sm 0.165 0.165 0.164
2 Sm 0.835 0.835 0.836
3 Dy 0.157 0.516 0.337
4 Dy 0.203 0.797 0.000
5 Dy 0.484 0.843 0.663
6 Dy 0.516 0.157 0.337
7 Dy 0.797 0.203 0.000
8 Dy 0.843 0.484 0.663
9 Zr 0.500 0.500 0.500

Largest 8 diffraction maxima, low angle first, 10 to 80 degrees two-theta:
2θ (°)	d [Å]	Rel. int.
27.8	3.208	50.8
31.0	2.887	60.4
31.6	2.829	100.0
35.7	2.514	51.5
35.8	2.505	51.1
54.3	1.690	20.6
63.7	1.460	20.8
63.9	1.457	25.8

Number 3 is which compound? SmDy2Y12